Diffraction record for Li5Mn3O8. The PXRD pattern is simulated, not measured: it uses a structure optimized by DFT (GGA+U) and Cu Kα (λ = 1.5418 Å).
Lines closer than 0.1° are merged.

Cell lengths 5.0260, 5.0805, 5.7935 Å; angles 73.27, 89.95, 79.97 degrees
Space group P-1 (No. 2)
Asymmetric unit:
Li: 0.0000 0.0000 0.0000 x1
Li: 0.2295 0.4884 0.8806 x2
Li: 0.2393 0.5023 0.3703 x2
Mn: 0.0000 0.0000 0.5000 x1
Mn: 0.5005 0.0011 0.2458 x2
O: 0.1414 0.2284 0.2037 x2
O: 0.1423 0.2253 0.6821 x2
O: 0.3778 0.7793 0.5546 x2
O: 0.3968 0.7749 0.0579 x2

Most intense lines, 2θ = 10–90°, in order of falling intensity:
2θ 18.5, intensity 1000, (0 1 0)
2θ 36.3, intensity 374, (2 0 0)
2θ 43.9, intensity 317, (1 2 2)
2θ 44.0, intensity 315, (1 1 -2)
2θ 44.2, intensity 310, (2 -1 0)
2θ 64.2, intensity 164, (3 1 2)